1.
Nb2ReIr9: theoretical powder XRD pattern (Cu Kα (weighted mean of Kα1 and Kα2)), based on the GGA-PBE geometry in Alexandria.

```
data_Nb2ReIr9
_symmetry_space_group_name_H-M 'P -1'
_symmetry_Int_Tables_number 2
_symmetry_space_group_name_Hall '-P 1'
_cell_length_a 4.8486
_cell_length_b 6.7226
_cell_length_c 6.9265
_cell_angle_alpha 64.31
_cell_angle_beta 69.71
_cell_angle_gamma 70.81
loop_
_atom_site_label
_atom_site_fract_x
_atom_site_fract_y
_atom_site_fract_z
Nb1 0.1095 0.0343 0.2400
Re1 0.0000 0.5000 0.0000
Ir1 0.2151 0.4401 0.3420
Ir2 0.2453 0.2069 0.7964
Ir3 0.2841 0.6582 0.5617
Ir4 0.3933 0.7500 0.9636
Ir5 0.5000 0.0000 0.5000
```

Main lines, in order of falling intensity (15 to 90 degrees two-theta):
2θ/deg, I_rel
41.2, 100.0
40.7, 92.9
41.7, 92.1
42.2, 91.0
40.0, 84.1
40.5, 79.3
41.6, 76.1
37.1, 73.8
42.8, 63.4
40.3, 49.1


2.
CaSm2Dy6: theoretical powder XRD pattern (Cu Kα (weighted mean of Kα1 and Kα2)), based on the GGA-PBE geometry in Alexandria.

```
data_CaSm2Dy6
_symmetry_space_group_name_H-M 'C 1 2/c 1'
_symmetry_Int_Tables_number 15
_symmetry_space_group_name_Hall '-C 2yc'
_cell_length_a 9.1908
_cell_length_b 14.5871
_cell_length_c 8.9918
_cell_angle_alpha 90.00
_cell_angle_beta 93.11
_cell_angle_gamma 90.00
loop_
_atom_site_label
_atom_site_fract_x
_atom_site_fract_y
_atom_site_fract_z
Ca1 0.0000 0.1005 0.2500
Sm1 0.1724 0.3011 0.8292
Dy1 0.0817 0.1033 0.6003
Dy2 0.0980 0.3078 0.4209
Dy3 0.1596 0.4825 0.1195
```

Main lines, in order of falling intensity (15 to 90 degrees two-theta):
2θ/deg, I_rel
31.1, 100.0
32.2, 97.6
29.1, 75.4
28.4, 64.6
31.0, 57.5
29.7, 55.2
32.3, 49.1
32.6, 43.8
29.8, 37.4
58.6, 35.0